Record 1
Simulated powder diffraction line list
Compound: PuAl6Pt3
Radiation: Cu Kα, 1.54184 Å
Structure: a cell relaxed with PBE
Neutral-atom scattering factors, no anomalous dispersion.

Crystal structure
```
data_PuAl6Pt3
_space_group_name_H-M_alt 'P 1'
_space_group_IT_number 1
_space_group_name_Hall 'P 1'
_cell_length_a 8.484
_cell_length_b 4.288
_cell_length_c 9.740
_cell_angle_alpha 90.00
_cell_angle_beta 93.93
_cell_angle_gamma 90.00
loop_
_atom_site_label
_atom_site_type_symbol
_atom_site_fract_x
_atom_site_fract_y
_atom_site_fract_z
_atom_site_occupancy
Pu1 Pu 0.051 0.250 0.295 1
Pu2 Pu 0.949 0.750 0.705 1
Al1 Al 0.119 0.750 0.027 1
Al2 Al 0.184 0.250 0.617 1
Al3 Al 0.301 0.750 0.266 1
Al4 Al 0.315 0.750 0.781 1
Al5 Al 0.426 0.250 0.425 1
Al6 Al 0.467 0.250 0.913 1
Al7 Al 0.533 0.750 0.087 1
Al8 Al 0.574 0.750 0.575 1
Al9 Al 0.685 0.250 0.219 1
Al10 Al 0.699 0.250 0.734 1
Al11 Al 0.816 0.750 0.383 1
Al12 Al 0.881 0.250 0.973 1
Pt1 Pt 0.167 0.250 0.880 1
Pt2 Pt 0.275 0.750 0.516 1
Pt3 Pt 0.383 0.250 0.154 1
Pt4 Pt 0.617 0.750 0.846 1
Pt5 Pt 0.725 0.250 0.484 1
Pt6 Pt 0.833 0.750 0.120 1
```

Top 10 peaks for 2θ = 10–80°, in order of rising 2θ:
two_theta  I/Imax
22.7  28.5
24.7  34.8
25.3  40.7
27.0  66.4
30.2  100.0
30.6  31.1
38.2  39.1
38.8  37.4
42.1  45.6
43.5  61.9



Record 2
Simulated powder diffraction line list
Compound: La2Tb2Dy4Y
Radiation: Cu Kα, 1.54184 Å
Structure: a cell relaxed with PBE
Neutral-atom scattering factors, no anomalous dispersion.

Crystal structure
```
data_La2Tb2Dy4Y
_space_group_name_H-M_alt 'P 1'
_space_group_IT_number 1
_space_group_name_Hall 'P 1'
_cell_length_a 9.581
_cell_length_b 9.581
_cell_length_c 9.630
_cell_angle_alpha 115.24
_cell_angle_beta 115.24
_cell_angle_gamma 21.83
loop_
_atom_site_label
_atom_site_type_symbol
_atom_site_fract_x
_atom_site_fract_y
_atom_site_fract_z
_atom_site_occupancy
La1 La 0.166 0.166 0.499 1
La2 La 0.834 0.834 0.501 1
Tb1 Tb 0.353 0.353 0.837 1
Tb2 Tb 0.647 0.647 0.163 1
Dy1 Dy 0.020 0.020 0.837 1
Dy2 Dy 0.314 0.314 0.162 1
Dy3 Dy 0.686 0.686 0.838 1
Dy4 Dy 0.980 0.980 0.163 1
Y1 Y 0.500 0.500 0.500 1
```

Top 10 peaks for 2θ = 10–80°, in order of rising 2θ:
two_theta  I/Imax
28.6  32.6
29.3  29.3
30.9  53.1
31.6  100.0
33.3  94.7
37.5  16.7
50.4  41.1
54.4  19.7
57.6  21.3
60.3  47.6



Record 3
Simulated powder diffraction line list
Compound: PmHoSiRh
Radiation: Cu Kα, 1.54184 Å
Structure: a cell relaxed with PBE
Neutral-atom scattering factors, no anomalous dispersion.

Crystal structure
```
data_PmHoSiRh
_space_group_name_H-M_alt 'P 1'
_space_group_IT_number 1
_space_group_name_Hall 'P 1'
_cell_length_a 4.067
_cell_length_b 4.207
_cell_length_c 10.550
_cell_angle_alpha 90.00
_cell_angle_beta 90.00
_cell_angle_gamma 90.00
loop_
_atom_site_label
_atom_site_type_symbol
_atom_site_fract_x
_atom_site_fract_y
_atom_site_fract_z
_atom_site_occupancy
Pm1 Pm 0.000 0.000 0.000 1
Pm2 Pm 0.000 0.500 0.500 1
Ho1 Ho 0.500 0.000 0.282 1
Ho2 Ho 0.500 0.500 0.782 1
Si1 Si 0.500 0.000 0.580 1
Si2 Si 0.500 0.500 0.080 1
Rh1 Rh 0.000 0.000 0.721 1
Rh2 Rh 0.000 0.500 0.221 1
```

Top 10 peaks for 2θ = 10–80°, in order of rising 2θ:
two_theta  I/Imax
27.7  28.5
31.8  100.0
33.2  41.9
34.0  24.0
40.1  41.6
40.8  16.0
43.0  22.1
44.6  19.9
56.7  18.2
74.0  17.1



Record 4
Simulated powder diffraction line list
Compound: Sr4Hg5Rh2
Radiation: Cu Kα, 1.54184 Å
Structure: a cell relaxed with PBE
Neutral-atom scattering factors, no anomalous dispersion.

Crystal structure
```
data_Sr4Hg5Rh2
_space_group_name_H-M_alt 'P 1'
_space_group_IT_number 1
_space_group_name_Hall 'P 1'
_cell_length_a 7.722
_cell_length_b 4.403
_cell_length_c 9.399
_cell_angle_alpha 90.00
_cell_angle_beta 91.91
_cell_angle_gamma 90.00
loop_
_atom_site_label
_atom_site_type_symbol
_atom_site_fract_x
_atom_site_fract_y
_atom_site_fract_z
_atom_site_occupancy
Sr1 Sr 0.204 0.000 0.346 1
Sr2 Sr 0.224 0.000 0.912 1
Sr3 Sr 0.776 0.000 0.088 1
Sr4 Sr 0.796 0.000 0.654 1
Hg1 Hg 0.144 0.500 0.633 1
Hg2 Hg 0.423 0.500 0.148 1
Hg3 Hg 0.500 0.500 0.500 1
Hg4 Hg 0.577 0.500 0.852 1
Hg5 Hg 0.856 0.500 0.367 1
Rh1 Rh 0.060 0.500 0.131 1
Rh2 Rh 0.940 0.500 0.869 1
```

Top 10 peaks for 2θ = 10–80°, in order of rising 2θ:
two_theta  I/Imax
20.2  87.0
29.9  51.7
30.4  100.0
30.8  54.8
31.2  28.4
32.5  32.3
35.9  33.6
36.3  29.3
40.5  30.5
41.0  48.5